Entry 1:
For BaLiMg2AlSi3O10F2, the PBE geometry in Alexandria gives the calculated X-ray diffraction stick pattern in this record (λ = 1.5418 Å (Cu Kα)).
Peak positions follow from Bragg's law for the DFT cell and can differ from measured ones.

The 10 most intense peaks (2θ from 10° to 90°), by angle:
2θ (°), d/Å, I (rel.)
22.64, 3.927, 70.4
24.12, 3.690, 84.2
24.26, 3.669, 98.1
26.08, 3.417, 67.4
26.33, 3.384, 67.8
28.28, 3.156, 81.9
28.39, 3.144, 84.9
33.93, 2.642, 85.4
34.24, 2.619, 100.0
41.61, 2.171, 61.2

Cell lengths 5.300, 5.311, 10.297 Å; angles 95.61, 94.66, 119.81 degrees
Space group P1 (No. 1)
Asymmetric unit:
Ba: 0.000 0.000 0.000 x1
Li: 0.502 0.504 0.530 x1
Mg: 0.173 0.837 0.527 x1
Mg: 0.845 0.173 0.525 x1
Al: 0.266 0.595 0.791 x1
Si: 0.416 0.752 0.253 x1
Si: 0.602 0.263 0.800 x1
Si: 0.749 0.414 0.253 x1
O: 0.060 0.559 0.186 x1
O: 0.200 0.538 0.623 x1
O: 0.416 0.966 0.868 x1
O: 0.471 0.815 0.409 x1
O: 0.512 0.498 0.866 x1
O: 0.547 0.200 0.641 x1
O: 0.559 0.558 0.187 x1
O: 0.561 0.058 0.183 x1
O: 0.803 0.463 0.409 x1
O: 0.948 0.401 0.867 x1
F: 0.118 0.107 0.414 x1
F: 0.884 0.884 0.629 x1

***

Entry 2:
For BaNa2Sr6Al6O2F32, the PBE geometry in Alexandria gives the calculated X-ray diffraction stick pattern in this record (λ = 1.5418 Å (Cu Kα)).
Peak positions follow from Bragg's law for the DFT cell and can differ from measured ones.

The 10 most intense peaks (2θ from 10° to 90°), by angle:
2θ (°), d/Å, I (rel.)
10.98, 8.056, 50.5
23.94, 3.717, 49.4
25.59, 3.481, 45.4
27.33, 3.263, 93.8
28.15, 3.170, 100.0
29.19, 3.060, 42.8
29.59, 3.019, 62.3
29.84, 2.994, 46.3
39.96, 2.256, 39.6
43.99, 2.058, 37.4

Cell lengths 16.439, 11.132, 7.332 Å; angles 90.00, 101.45, 90.00 degrees
Space group Cm (No. 8)
Asymmetric unit:
Ba: 0.000 0.000 0.000 x2
Na: 0.235 0.000 0.360 x2
Na: 0.235 0.000 0.855 x2
Sr: 0.088 0.207 0.557 x4
Sr: 0.236 0.500 0.861 x2
Sr: 0.381 0.204 0.161 x4
Sr: 0.476 0.000 0.745 x2
Al: 0.066 0.500 0.315 x2
Al: 0.127 0.261 0.064 x4
Al: 0.343 0.255 0.657 x4
Al: 0.403 0.500 0.411 x2
O: 0.146 0.000 0.573 x2
O: 0.320 0.000 0.140 x2
F: 0.003 0.385 0.398 x4
F: 0.016 0.246 0.052 x4
F: 0.106 0.370 0.868 x4
F: 0.124 0.138 0.894 x4
F: 0.130 0.384 0.237 x4
F: 0.131 0.500 0.547 x2
F: 0.142 0.151 0.251 x4
F: 0.234 0.278 0.652 x4
F: 0.236 0.285 0.070 x4
F: 0.327 0.151 0.463 x4
F: 0.339 0.500 0.180 x2
F: 0.341 0.383 0.492 x4
F: 0.350 0.128 0.822 x4
F: 0.363 0.362 0.857 x4
F: 0.455 0.236 0.671 x4
F: 0.466 0.383 0.326 x4
F: 0.477 0.500 0.630 x2
F: 0.494 0.000 0.090 x2

***

Entry 3:
For Ba2Na2SrAl4F20, the PBE geometry in Alexandria gives the calculated X-ray diffraction stick pattern in this record (λ = 1.5418 Å (Cu Kα)).
Peak positions follow from Bragg's law for the DFT cell and can differ from measured ones.

The 10 most intense peaks (2θ from 10° to 90°), by angle:
2θ (°), d/Å, I (rel.)
20.80, 4.270, 25.1
25.07, 3.552, 39.6
27.16, 3.284, 100.0
27.45, 3.249, 48.9
30.29, 2.951, 25.6
30.48, 2.933, 39.5
33.52, 2.673, 26.2
37.98, 2.369, 29.2
41.70, 2.166, 24.4
42.26, 2.138, 26.5

Cell lengths 5.347, 20.456, 8.905 Å; angles 90.00, 126.54, 90.00 degrees
Space group P2_1/c (No. 14)
Asymmetric unit:
Ba: 0.032 0.222 0.009 x4
Na: 0.228 0.091 0.736 x4
Sr: 0.000 0.000 0.000 x2
Al: 0.294 0.601 0.282 x4
Al: 0.476 0.637 0.960 x4
F: 0.099 0.677 0.839 x4
F: 0.126 0.099 0.425 x4
F: 0.185 0.603 0.439 x4
F: 0.292 0.102 0.020 x4
F: 0.305 0.567 0.805 x4
F: 0.305 0.688 0.275 x4
F: 0.308 0.513 0.295 x4
F: 0.341 0.206 0.383 x4
F: 0.411 0.596 0.119 x4
F: 0.464 0.177 0.701 x4

***

Entry 4:
For Ba4TiAl3P4O20F4, the PBE geometry in Alexandria gives the calculated X-ray diffraction stick pattern in this record (λ = 1.5418 Å (Cu Kα)).
Peak positions follow from Bragg's law for the DFT cell and can differ from measured ones.

The 10 most intense peaks (2θ from 10° to 90°), by angle:
2θ (°), d/Å, I (rel.)
20.47, 4.339, 89.7
24.61, 3.618, 66.7
26.71, 3.338, 77.9
26.96, 3.308, 100.0
27.06, 3.295, 99.5
29.31, 3.047, 74.9
30.56, 2.925, 85.7
31.28, 2.859, 79.5
34.89, 2.572, 69.1
39.75, 2.268, 78.2

Cell lengths 5.255, 7.062, 12.917 Å; angles 90.05, 90.21, 101.91 degrees
Space group P-1 (No. 2)
Asymmetric unit:
Ba: 0.045 0.192 0.302 x2
Ba: 0.452 0.309 0.804 x2
Ti: 0.500 0.500 0.500 x1
Al: 0.000 0.000 0.000 x1
Al: 0.000 0.500 0.000 x1
Al: 0.500 0.000 0.500 x1
P: 0.071 0.701 0.386 x2
P: 0.431 0.803 0.892 x2
O: 0.064 0.800 0.282 x2
O: 0.079 0.260 0.958 x2
O: 0.149 0.850 0.475 x2
O: 0.195 0.438 0.593 x2
O: 0.233 0.942 0.887 x2
O: 0.272 0.563 0.382 x2
O: 0.293 0.071 0.087 x2
O: 0.349 0.652 0.980 x2
O: 0.424 0.237 0.456 x2
O: 0.436 0.702 0.787 x2
F: 0.094 0.464 0.134 x2
F: 0.397 0.041 0.633 x2

***

Entry 5:
For Ba3Sr9Al4O16F4, the PBE geometry in Alexandria gives the calculated X-ray diffraction stick pattern in this record (λ = 1.5418 Å (Cu Kα)).
Peak positions follow from Bragg's law for the DFT cell and can differ from measured ones.

The 10 most intense peaks (2θ from 10° to 90°), by angle:
2θ (°), d/Å, I (rel.)
24.01, 3.706, 41.8
29.82, 2.996, 43.8
30.21, 2.959, 100.0
31.69, 2.824, 37.9
36.58, 2.456, 30.0
37.53, 2.396, 73.6
41.08, 2.197, 49.3
49.16, 1.853, 24.2
52.79, 1.734, 25.0
55.52, 1.655, 19.7

Cell lengths 6.948, 6.948, 11.294 Å; angles 90.00, 90.00, 90.00 degrees
Space group P422 (No. 89)
Asymmetric unit:
Ba: 0.000 0.000 0.000 x1
Ba: 0.000 0.000 0.500 x1
Ba: 0.500 0.500 0.000 x1
Sr: 0.170 0.331 0.251 x8
Sr: 0.500 0.500 0.500 x1
Al: 0.000 0.500 0.000 x2
Al: 0.000 0.500 0.500 x2
O: 0.139 0.362 0.896 x8
O: 0.143 0.364 0.603 x8
F: 0.000 0.000 0.252 x2
F: 0.500 0.500 0.257 x2

***

Entry 6:
For Ba2AlSn2F11, the PBE geometry in Alexandria gives the calculated X-ray diffraction stick pattern in this record (λ = 1.5418 Å (Cu Kα)).
Peak positions follow from Bragg's law for the DFT cell and can differ from measured ones.

The 10 most intense peaks (2θ from 10° to 90°), by angle:
2θ (°), d/Å, I (rel.)
21.21, 4.190, 47.5
22.73, 3.913, 42.7
23.41, 3.801, 64.2
25.34, 3.514, 42.6
25.88, 3.443, 100.0
26.90, 3.315, 57.4
28.29, 3.154, 49.1
35.49, 2.529, 33.4
41.54, 2.174, 40.5
49.36, 1.846, 33.3

Cell lengths 7.8253, 7.8253, 15.9910 Å; angles 90.00, 90.00, 120.00 degrees
Space group P3_2 (No. 145)
Asymmetric unit:
Ba: 0.0415 0.2535 0.0000 x3
Ba: 0.5112 0.1577 0.8017 x3
Al: 0.1390 0.4589 0.2603 x3
Sn: 0.0424 0.4005 0.7164 x3
Sn: 0.3308 0.2700 0.5649 x3
F: 0.0538 0.2003 0.3017 x3
F: 0.0673 0.3498 0.1571 x3
F: 0.1165 0.6114 0.5846 x3
F: 0.1662 0.5414 0.3684 x3
F: 0.1961 0.6992 0.2249 x3
F: 0.2581 0.0482 0.9341 x3
F: 0.2975 0.1894 0.0879 x3
F: 0.3839 0.3593 0.6922 x3
F: 0.4934 0.1318 0.2167 x3
F: 0.5126 0.1344 0.6029 x3
F: 0.5204 0.3312 0.3879 x3